# 1
For UC2O9, a cell relaxed with GGA-PBE gives the calculated powder diffractogram in this record (copper Kα).
Neutral-atom scattering factors, no anomalous dispersion.

Atomic structure:
Cell lengths 5.941, 14.612, 9.630 Å; angles 90.00, 98.63, 90.00 degrees
Space group P2_1/c (No. 14)
Inequivalent atoms, fractional coordinates:
U 0.160 0.067 0.278 [4 per cell]
C 0.109 0.638 0.947 [4 per cell]
C 0.499 0.095 0.937 [4 per cell]
O 0.009 0.626 0.061 [4 per cell]
O 0.093 0.560 0.353 [4 per cell]
O 0.099 0.565 0.864 [4 per cell]
O 0.198 0.711 0.922 [4 per cell]
O 0.277 0.248 0.713 [4 per cell]
O 0.388 0.131 0.011 [4 per cell]
O 0.395 0.557 0.640 [4 per cell]
O 0.436 0.082 0.381 [4 per cell]
O 0.484 0.235 0.744 [4 per cell]

Principal peaks in the range 2θ = 15–90°, in order of rising 2θ:
| hkl | 2θ (°) | d [Å] | I (rel.) |
| --- | --- | --- | --- |
| 0 2 1 | 15.3 | 5.796 | 77 |
| 1 1 -1 | 17.6 | 5.042 | 37 |
| 0 0 2 | 18.6 | 4.760 | 37 |
| 1 1 1 | 19.9 | 4.469 | 100 |
| 1 0 -2 | 22.2 | 3.997 | 42 |
| 1 3 0 | 23.7 | 3.749 | 27 |
| 1 2 -2 | 25.4 | 3.511 | 22 |
| 0 4 1 | 26.1 | 3.409 | 57 |
| 1 3 -2 | 28.8 | 3.096 | 24 |
| 2 3 -2 | 38.3 | 2.350 | 26 |

---

# 2
For UC2O7, a cell relaxed with GGA-PBE gives the calculated powder diffractogram in this record (copper Kα).
Neutral-atom scattering factors, no anomalous dispersion.

Atomic structure:
Cell lengths 3.786, 4.830, 17.340 Å; angles 88.75, 84.23, 76.36 degrees
Space group P1 (No. 1)
Inequivalent atoms, fractional coordinates:
U 0.000 0.000 0.000 [1 per cell]
U 0.257 0.499 0.481 [1 per cell]
C 0.095 0.509 0.863 [1 per cell]
C 0.208 0.012 0.618 [1 per cell]
C 0.259 0.466 0.119 [1 per cell]
C 0.644 0.968 0.363 [1 per cell]
O 0.050 0.720 0.095 [1 per cell]
O 0.109 0.756 0.889 [1 per cell]
O 0.158 0.412 0.798 [1 per cell]
O 0.170 0.830 0.555 [1 per cell]
O 0.186 0.923 0.683 [1 per cell]
O 0.266 0.252 0.592 [1 per cell]
O 0.309 0.420 0.186 [1 per cell]
O 0.388 0.281 0.060 [1 per cell]
O 0.397 0.217 0.386 [1 per cell]
O 0.547 0.835 0.987 [1 per cell]
O 0.695 0.779 0.422 [1 per cell]
O 0.792 0.334 0.494 [1 per cell]
O 0.792 0.929 0.298 [1 per cell]
O 0.990 0.332 0.926 [1 per cell]

Principal peaks in the range 2θ = 15–90°, in order of rising 2θ:
| hkl | 2θ (°) | d [Å] | I (rel.) |
| --- | --- | --- | --- |
| 0 1 1 | 19.6 | 4.529 | 82 |
| 0 0 4 | 20.6 | 4.313 | 33 |
| 1 0 0 | 24.3 | 3.658 | 51 |
| 0 1 3 | 24.5 | 3.636 | 100 |
| 1 1 1 | 27.2 | 3.283 | 29 |
| 1 1 3 | 30.2 | 2.963 | 24 |
| 0 1 -5 | 32.2 | 2.780 | 32 |
| 0 2 -4 | 43.9 | 2.061 | 21 |
| 2 1 0 | 49.0 | 1.858 | 20 |
| 2 1 4 | 51.5 | 1.774 | 19 |

---

# 3
For UC2O7, a cell relaxed with GGA-PBE gives the calculated powder diffractogram in this record (copper Kα).
Neutral-atom scattering factors, no anomalous dispersion.

Atomic structure:
Cell lengths 5.565, 23.221, 12.847 Å; angles 90.00, 90.00, 90.00 degrees
Space group Fdd2 (No. 43)
Inequivalent atoms, fractional coordinates:
U 0.000 0.000 0.000 [8 per cell]
C 0.055 0.400 0.725 [16 per cell]
O 0.000 0.000 0.853 [8 per cell]
O 0.009 0.202 0.766 [16 per cell]
O 0.031 0.145 0.246 [16 per cell]
O 0.113 0.195 0.452 [16 per cell]

Principal peaks in the range 2θ = 15–90°, in order of rising 2θ:
| hkl | 2θ (°) | d [Å] | I (rel.) |
| --- | --- | --- | --- |
| 0 4 0 | 15.3 | 5.805 | 45 |
| 0 2 2 | 15.8 | 5.621 | 100 |
| 1 1 1 | 17.8 | 4.988 | 86 |
| 1 3 1 | 20.8 | 4.263 | 71 |
| 1 5 1 | 25.9 | 3.436 | 28 |
| 0 6 2 | 26.9 | 3.315 | 28 |
| 0 0 4 | 27.8 | 3.212 | 25 |
| 1 3 3 | 28.7 | 3.108 | 26 |
| 1 7 1 | 32.2 | 2.782 | 20 |
| 2 4 2 | 38.5 | 2.337 | 28 |

---

# 4
For UC2O9, a cell relaxed with GGA-PBE gives the calculated powder diffractogram in this record (copper Kα).
Neutral-atom scattering factors, no anomalous dispersion.

Atomic structure:
Cell lengths 5.670, 16.355, 9.859 Å; angles 90.00, 101.02, 90.00 degrees
Space group P2_1/c (No. 14)
Inequivalent atoms, fractional coordinates:
U 0.192 0.086 0.256 [4 per cell]
C 0.031 0.542 0.975 [4 per cell]
C 0.494 0.083 0.926 [4 per cell]
O 0.027 0.103 0.458 [4 per cell]
O 0.093 0.560 0.359 [4 per cell]
O 0.132 0.544 0.871 [4 per cell]
O 0.175 0.202 0.215 [4 per cell]
O 0.247 0.734 0.899 [4 per cell]
O 0.368 0.721 0.810 [4 per cell]
O 0.393 0.113 0.006 [4 per cell]
O 0.407 0.552 0.656 [4 per cell]
O 0.495 0.095 0.358 [4 per cell]

Principal peaks in the range 2θ = 15–90°, in order of rising 2θ:
| hkl | 2θ (°) | d [Å] | I (rel.) |
| --- | --- | --- | --- |
| 1 1 -1 | 17.7 | 5.025 | 55 |
| 0 0 2 | 18.3 | 4.839 | 47 |
| 1 1 1 | 20.6 | 4.311 | 100 |
| 1 1 -2 | 22.6 | 3.931 | 31 |
| 1 3 0 | 22.8 | 3.895 | 59 |
| 0 4 1 | 23.6 | 3.766 | 38 |
| 1 3 -2 | 27.4 | 3.254 | 48 |
| 1 1 -3 | 29.8 | 3.002 | 55 |
| 0 6 0 | 32.9 | 2.726 | 25 |
| 0 6 2 | 37.9 | 2.375 | 23 |

---

# 5
For YCO4, a cell relaxed with GGA-PBE gives the calculated powder diffractogram in this record (copper Kα).
Neutral-atom scattering factors, no anomalous dispersion.

Atomic structure:
Cell lengths 4.890, 7.171, 8.734 Å; angles 90.00, 90.00, 90.00 degrees
Space group P2_12_12_1 (No. 19)
Inequivalent atoms, fractional coordinates:
Y 0.023 0.123 0.161 [4 per cell]
C 0.007 0.048 0.826 [4 per cell]
O 0.033 0.811 0.139 [4 per cell]
O 0.037 0.447 0.792 [4 per cell]
O 0.186 0.614 0.587 [4 per cell]
O 0.240 0.920 0.368 [4 per cell]

Principal peaks in the range 2θ = 15–90°, in order of rising 2θ:
| hkl | 2θ (°) | d [Å] | I (rel.) |
| --- | --- | --- | --- |
| 0 1 1 | 16.0 | 5.542 | 95 |
| 0 0 2 | 20.3 | 4.367 | 54 |
| 1 0 1 | 20.8 | 4.267 | 100 |
| 1 1 1 | 24.3 | 3.667 | 73 |
| 0 2 1 | 26.9 | 3.317 | 41 |
| 1 2 0 | 30.9 | 2.891 | 66 |
| 0 1 3 | 33.2 | 2.697 | 35 |
| 1 1 3 | 38.1 | 2.362 | 54 |
| 2 1 2 | 44.3 | 2.045 | 51 |
| 2 2 1 | 46.1 | 1.968 | 48 |

---

# 6
For YC3O8, a cell relaxed with GGA-PBE gives the calculated powder diffractogram in this record (copper Kα).
Neutral-atom scattering factors, no anomalous dispersion.

Atomic structure:
Cell lengths 7.287, 8.513, 12.949 Å; angles 90.00, 90.00, 90.00 degrees
Space group P2_12_12_1 (No. 19)
Inequivalent atoms, fractional coordinates:
Y 0.240 0.032 0.297 [4 per cell]
C 0.026 0.640 0.762 [4 per cell]
C 0.040 0.232 0.104 [4 per cell]
C 0.094 0.787 0.045 [4 per cell]
O 0.020 0.700 0.102 [4 per cell]
O 0.035 0.542 0.685 [4 per cell]
O 0.051 0.850 0.363 [4 per cell]
O 0.065 0.107 0.159 [4 per cell]
O 0.108 0.234 0.013 [4 per cell]
O 0.129 0.146 0.687 [4 per cell]
O 0.164 0.726 0.787 [4 per cell]
O 0.165 0.873 0.987 [4 per cell]

Principal peaks in the range 2θ = 15–90°, in order of rising 2θ:
| hkl | 2θ (°) | d [Å] | I (rel.) |
| --- | --- | --- | --- |
| 1 1 0 | 16.0 | 5.536 | 100 |
| 0 1 2 | 17.2 | 5.153 | 20 |
| 1 1 2 | 21.1 | 4.208 | 38 |
| 1 0 3 | 24.0 | 3.714 | 16 |
| 0 2 2 | 25.0 | 3.557 | 24 |
| 1 2 2 | 27.9 | 3.196 | 15 |
| 1 0 4 | 30.2 | 2.958 | 12 |
| 1 1 4 | 32.0 | 2.796 | 12 |
| 2 2 0 | 32.3 | 2.768 | 13 |
| 3 2 4 | 51.7 | 1.768 | 12 |